Diffraction record for LaAsO4. The X-ray powder pattern is calculated, not measured: it uses a crystal structure in Alexandria, relaxed with PBE and copper Kα.
Lines closer than 0.1° are merged.

Peak list (6 most intense, 2θ from 5° to 70°, in order of rising 2θ)
| Position (°2θ) | I (rel.) |
| --- | --- |
| 25.9 | 54 |
| 27.7 | 100 |
| 29.6 | 66 |
| 32.4 | 25 |
| 44.4 | 32 |
| 46.2 | 28 |

Structure:
```
LaAsO4
1.0
6.8530 0.0000 0.0000
0.0000 7.2986 0.0000
-5.0211 0.0000 6.8741
La As O
4 4 16
Direct
0.1879 0.1524 0.2836
0.1879 0.3476 0.7836
0.8121 0.6524 0.2164
0.8121 0.8476 0.7164
0.3081 0.6616 0.1961
0.3081 0.8384 0.6961
0.6919 0.1616 0.3039
0.6919 0.3384 0.8039
0.1056 0.6588 0.6085
0.1056 0.8412 0.1085
0.1728 0.0039 0.7458
0.1728 0.4961 0.2458
0.3472 0.6050 0.0197
0.3472 0.8950 0.5197
0.3975 0.2123 0.1176
0.3975 0.2877 0.6176
0.6025 0.7123 0.3824
0.6025 0.7877 0.8824
0.6528 0.1050 0.4803
0.6528 0.3950 0.9803
0.8272 0.5039 0.7542
0.8272 0.9961 0.2542
0.8944 0.1588 0.8915
0.8944 0.3412 0.3915
```



Diffraction record for LaAsO. The X-ray powder pattern is calculated, not measured: it uses a crystal structure in Alexandria, relaxed with PBE and copper Kα.
Lines closer than 0.1° are merged.

Peak list (6 most intense, 2θ from 5° to 70°, in order of rising 2θ)
| Position (°2θ) | I (rel.) |
| --- | --- |
| 25.0 | 39 |
| 25.2 | 43 |
| 30.2 | 61 |
| 30.9 | 100 |
| 32.2 | 77 |
| 49.0 | 37 |

Structure:
```
LaAsO
1.0
4.1830 0.0000 0.0000
0.0000 4.0216 0.0000
-0.6914 0.0000 7.6745
La As O
2 2 2
Direct
0.2265 0.2500 0.3425
0.7735 0.7500 0.6575
0.3231 0.2500 0.9479
0.6769 0.7500 0.0521
0.2504 0.7500 0.5049
0.7496 0.2500 0.4951
```



Diffraction record for La4As2S5O4. The X-ray powder pattern is calculated, not measured: it uses a crystal structure in Alexandria, relaxed with PBE and copper Kα.
Lines closer than 0.1° are merged.

Peak list (6 most intense, 2θ from 5° to 70°, in order of rising 2θ)
| Position (°2θ) | I (rel.) |
| --- | --- |
| 9.6 | 77 |
| 25.6 | 48 |
| 26.0 | 100 |
| 29.7 | 54 |
| 30.9 | 49 |
| 32.6 | 60 |

Structure:
```
La4As2S5O4
1.0
4.1874 0.0000 0.0000
0.3038 8.3119 0.0000
2.0426 1.9771 9.2187
La As S O
4 2 5 4
Direct
0.0000 0.0000 0.0000
0.0051 0.4935 0.0040
0.6170 0.8068 0.7461
0.6330 0.3105 0.7381
0.0961 0.6992 0.3699
0.3535 0.2557 0.3766
0.1264 0.0695 0.5758
0.2623 0.6129 0.5826
0.3808 0.1868 0.1600
0.4834 0.7257 0.1629
0.9147 0.4424 0.3658
0.0577 0.7763 0.8777
0.0646 0.2814 0.8658
0.5601 0.0324 0.8688
0.5620 0.5257 0.8745
```



Diffraction record for La4As2S6O3. The X-ray powder pattern is calculated, not measured: it uses a crystal structure in Alexandria, relaxed with PBE and copper Kα.
Lines closer than 0.1° are merged.

Peak list (6 most intense, 2θ from 5° to 70°, in order of rising 2θ)
| Position (°2θ) | I (rel.) |
| --- | --- |
| 8.6 | 78 |
| 25.2 | 100 |
| 27.7 | 25 |
| 29.5 | 35 |
| 30.3 | 40 |
| 32.6 | 48 |

Structure:
```
La4As2S6O3
1.0
-6.0516 9.6782 2.9516
6.0516 -9.6782 2.9516
6.0516 9.6782 -2.9516
La As S O
8 4 12 6
Direct
0.0740 0.1014 0.1755
0.2200 0.8916 0.1116
0.2800 0.3916 0.6716
0.4259 0.6014 0.0274
0.5740 0.3985 0.9726
0.7200 0.6084 0.3284
0.7800 0.1084 0.8884
0.9259 0.8985 0.8245
0.0055 0.4898 0.2687
0.2210 0.7368 0.7313
0.5055 0.2368 0.5158
0.7210 0.9898 0.4842
0.0760 0.7973 0.8729
0.1094 0.3232 0.4662
0.2259 0.6358 0.8561
0.2797 0.1358 0.4099
0.3570 0.8232 0.2138
0.4245 0.2973 0.7214
0.5760 0.7031 0.2786
0.6094 0.1432 0.7862
0.7259 0.8698 0.5901
0.7797 0.3698 0.1439
0.8570 0.6432 0.5338
0.9245 0.2031 0.1271
0.1002 0.2555 0.8453
0.2568 0.2568 0.0000
0.4102 0.2549 0.1547
0.6002 0.7549 0.8447
0.7568 0.7568 0.0000
0.9102 0.7555 0.1553
```



Diffraction record for LaScAsO2. The X-ray powder pattern is calculated, not measured: it uses a crystal structure in Alexandria, relaxed with PBE and copper Kα.
Lines closer than 0.1° are merged.

Peak list (6 most intense, 2θ from 5° to 70°, in order of rising 2θ)
| Position (°2θ) | I (rel.) |
| --- | --- |
| 21.6 | 20 |
| 31.4 | 100 |
| 33.1 | 18 |
| 33.5 | 18 |
| 47.8 | 21 |
| 58.1 | 17 |

Structure:
```
LaScAsO2
1.0
2.7055 -6.4590 0.0000
2.7055 6.4590 0.0000
0.0000 0.0000 5.3470
La Sc As O
2 2 2 4
Direct
0.1057 0.8943 0.7500
0.8943 0.1057 0.2500
0.4300 0.5700 0.7500
0.5700 0.4300 0.2500
0.2499 0.7501 0.2500
0.7501 0.2499 0.7500
0.2621 0.2621 0.0000
0.2621 0.2621 0.5000
0.7379 0.7379 0.0000
0.7379 0.7379 0.5000
```



Diffraction record for SrLaAs2O8. The X-ray powder pattern is calculated, not measured: it uses a crystal structure in Alexandria, relaxed with PBE and copper Kα.
Lines closer than 0.1° are merged.

Peak list (6 most intense, 2θ from 5° to 70°, in order of rising 2θ)
| Position (°2θ) | I (rel.) |
| --- | --- |
| 28.1 | 100 |
| 29.5 | 17 |
| 34.0 | 20 |
| 45.6 | 29 |
| 51.5 | 18 |
| 57.2 | 26 |

Structure:
```
SrLaAs2O8
1.0
-2.6396 2.6396 6.0557
2.6396 -2.6396 6.0557
2.6396 2.6396 -6.0557
Sr La As O
1 1 2 8
Direct
0.0000 0.0000 0.0000
0.7500 0.2500 0.5000
0.2500 0.7500 0.5000
0.5000 0.5000 0.0000
0.0437 0.9219 0.6137
0.0781 0.6918 0.1218
0.1764 0.3006 0.6337
0.3082 0.4300 0.3863
0.4573 0.8236 0.1242
0.5700 0.9563 0.8782
0.6669 0.5427 0.3663
0.6994 0.3331 0.8758
```